The following is a theoretical XRD peak list of KHoMoO5. It was derived from a cell relaxed with GGA+U, using Cu Kα X-rays.

Most intense lines, 10 to 80 degrees two-theta, sorted by position:
h k l	Position (°2θ)	intensity
1 1 0	15.31	65.7
1 1 -1	15.97	21.6
1 1 -2	23.83	100.0
2 0 0	25.26	78.3
1 3 0	29.31	87.4
0 2 2	29.94	63.3
2 2 -2	32.25	32.6
1 1 2	32.87	23.8
3 1 -2	37.04	26.6
2 2 2	45.89	25.3
3 3 0	47.11	27.9
1 3 -4	53.27	20.7

Structure:
```
data_KHoMoO5
_space_group_name_H-M_alt 'C 1 2/c 1'
_space_group_IT_number 15
_space_group_name_Hall '-C 2yc'
_cell_length_a 7.728
_cell_length_b 10.136
_cell_length_c 8.095
_cell_angle_alpha 90.00
_cell_angle_beta 114.18
_cell_angle_gamma 90.00
loop_
_atom_site_label
_atom_site_type_symbol
_atom_site_fract_x
_atom_site_fract_y
_atom_site_fract_z
K1 K 0.000 0.182 0.250
Ho1 Ho 0.000 0.500 0.000
Mo1 Mo 0.000 0.181 0.750
O1 O 0.000 0.433 0.250
O2 O 0.089 0.285 0.621
O3 O 0.184 0.076 0.901
```